[1]
# Li2P5WO15
Theoretical powder XRD pattern, Cu Kα (weighted mean of Kα1 and Kα2). Input: a crystal structure in the Materials Project, relaxed with PBE+U.
Peak positions follow from Bragg's law for the DFT cell and can differ from measured ones.

Crystal structure
Unit cell a=6.8744 b=6.8744 c=13.9249 alpha=96.84 beta=96.84 gamma=112.71
Fractional coordinates of all 46 atoms:
Li1 0.1301 0.8699 0.5000
Li2 0.4355 0.9169 0.8607
Li3 0.8699 0.1301 0.0000
Li4 0.9169 0.4355 0.3607
P1 0.0182 0.6232 0.0379
P2 0.1064 0.8965 0.2377
P3 0.2470 0.3802 0.5084
P4 0.2821 0.4901 0.7297
P5 0.3802 0.2470 0.0084
P6 0.4901 0.2821 0.2297
P7 0.4937 0.7439 0.0358
P8 0.6232 0.0182 0.5379
P9 0.7439 0.4937 0.5358
P10 0.8965 0.1064 0.7377
W1 0.5965 0.8510 0.2901
W2 0.8510 0.5965 0.7901
O1 0.0072 0.8004 0.1238
O2 0.1343 0.1456 0.4999
O3 0.1457 0.1343 0.9999
O4 0.1481 0.2435 0.7380
O5 0.1871 0.4921 0.4323
O6 0.1958 0.6349 0.7873
O7 0.2338 0.5024 0.6168
O8 0.2435 0.1481 0.2380
O9 0.2561 0.8002 0.2780
O10 0.2583 0.7431 0.0157
O11 0.4217 0.9801 0.5756
O12 0.4522 0.5014 0.0216
O13 0.4921 0.1871 0.9323
O14 0.5014 0.4522 0.5216
O15 0.5024 0.2338 0.1168
O16 0.5122 0.5396 0.7658
O17 0.5396 0.5122 0.2658
O18 0.5994 0.8495 0.1400
O19 0.6108 0.8543 0.9610
O20 0.6216 0.8767 0.4466
O21 0.6349 0.1958 0.2873
O22 0.7431 0.2583 0.5157
O23 0.8004 0.0072 0.6238
O24 0.8002 0.2561 0.7780
O25 0.8495 0.5994 0.6400
O26 0.8543 0.6108 0.4610
O27 0.8767 0.6216 0.9466
O28 0.8850 0.9300 0.7933
O29 0.9300 0.8850 0.2933
O30 0.9801 0.4217 0.0756

Peak list (8 most intense, 10° ≤ 2θ ≤ 90°, by angle)
14.2°, rel. 39.3
14.5°, rel. 97.3
16.7°, rel. 29.2
16.8°, rel. 23.8
26.2°, rel. 100.0
27.7°, rel. 24.4
28.2°, rel. 83.0
39.8°, rel. 22.0

=====

[2]
# CsMnO4
Theoretical powder XRD pattern, Cu Kα (weighted mean of Kα1 and Kα2). Input: a crystal structure in the Materials Project, relaxed with PBE+U.
Peak positions follow from Bragg's law for the DFT cell and can differ from measured ones.

Crystal structure
Unit cell a=10.2282 b=6.0030 c=8.1628 alpha=90.00 beta=90.00 gamma=90.00
Fractional coordinates of all 24 atoms:
Cs1 0.1893 0.2500 0.1538
Cs2 0.3107 0.7500 0.6538
Cs3 0.6893 0.2500 0.3462
Cs4 0.8107 0.7500 0.8462
Mn1 0.0509 0.2500 0.7054
Mn2 0.4491 0.7500 0.2054
Mn3 0.5509 0.2500 0.7946
Mn4 0.9491 0.7500 0.2946
O1 0.0789 0.0299 0.8155
O2 0.0789 0.4701 0.8155
O3 0.1003 0.7500 0.3523
O4 0.1471 0.2500 0.5483
O5 0.3529 0.7500 0.0483
O6 0.3997 0.2500 0.8523
O7 0.4211 0.5299 0.3155
O8 0.4211 0.9701 0.3155
O9 0.5789 0.0299 0.6845
O10 0.5789 0.4701 0.6845
O11 0.6003 0.7500 0.1477
O12 0.6471 0.2500 0.9517
O13 0.8529 0.7500 0.4517
O14 0.8997 0.2500 0.6477
O15 0.9211 0.5299 0.1845
O16 0.9211 0.9701 0.1845

Peak list (8 most intense, 10° ≤ 2θ ≤ 90°, by angle)
20.3°, rel. 34.5
22.8°, rel. 66.9
23.5°, rel. 43.1
25.3°, rel. 100.0
27.8°, rel. 38.7
29.8°, rel. 36.3
36.8°, rel. 35.2
38.2°, rel. 42.9

=====

[3]
# Ba5SrLa2Fe4O15
Theoretical powder XRD pattern, Cu Kα (weighted mean of Kα1 and Kα2). Input: a crystal structure in the Materials Project, relaxed with PBE+U.
Peak positions follow from Bragg's law for the DFT cell and can differ from measured ones.

Crystal structure
Unit cell a=11.9538 b=11.9538 c=7.1637 alpha=90.08 beta=90.08 gamma=119.92
Fractional coordinates of all 54 atoms:
Ba1 0.0000 0.0000 0.0000
Ba2 0.0000 0.0000 0.5000
Ba3 0.1707 0.3469 0.6624
Ba4 0.1748 0.8261 0.6644
Ba5 0.3330 0.6694 0.9794
Ba6 0.3469 0.1707 0.1624
Ba7 0.6513 0.8290 0.6656
Ba8 0.6694 0.3330 0.4794
Ba9 0.8261 0.1748 0.1644
Ba10 0.8290 0.6513 0.1656
Sr1 0.0431 0.5213 0.3339
Sr2 0.5213 0.0431 0.8339
La1 0.4785 0.5209 0.3366
La2 0.4789 0.9583 0.3337
La3 0.5209 0.4785 0.8366
La4 0.9583 0.4789 0.8337
Fe1 0.1775 0.8195 0.1645
Fe2 0.1786 0.3584 0.1622
Fe3 0.3309 0.6654 0.5247
Fe4 0.3584 0.1786 0.6622
Fe5 0.6433 0.8208 0.1641
Fe6 0.6654 0.3309 0.0247
Fe7 0.8195 0.1775 0.6645
Fe8 0.8208 0.6433 0.6641
O1 0.0638 0.6708 0.0217
O2 0.0649 0.3931 0.0213
O3 0.0946 0.9027 0.2658
O4 0.0969 0.1933 0.2649
O5 0.1699 0.5838 0.6759
O6 0.1933 0.0969 0.7649
O7 0.2535 0.7540 0.3424
O8 0.2544 0.4977 0.3423
O9 0.3286 0.9351 0.0358
O10 0.3319 0.3958 0.0299
O11 0.3931 0.0649 0.5213
O12 0.3958 0.3319 0.5299
O13 0.4147 0.8277 0.6648
O14 0.4166 0.5824 0.6688
O15 0.4977 0.2544 0.8423
O16 0.5029 0.7493 0.3425
O17 0.5824 0.4166 0.1688
O18 0.5838 0.1699 0.1759
O19 0.6038 0.6668 0.0303
O20 0.6059 0.9348 0.0355
O21 0.6668 0.6038 0.5303
O22 0.6708 0.0638 0.5217
O23 0.7493 0.5029 0.8425
O24 0.7540 0.2535 0.8424
O25 0.8088 0.9028 0.2659
O26 0.8277 0.4147 0.1648
O27 0.9027 0.0946 0.7658
O28 0.9028 0.8088 0.7659
O29 0.9351 0.3286 0.5358
O30 0.9348 0.6059 0.5355

Peak list (8 most intense, 10° ≤ 2θ ≤ 90°, by angle)
29.1°, rel. 29.9
29.9°, rel. 100.0
30.3°, rel. 43.1
33.9°, rel. 14.1
36.1°, rel. 33.2
43.1°, rel. 18.0
53.1°, rel. 14.6
62.1°, rel. 12.2